The following is a calculated PXRD pattern of Li2MnSiO4. It was derived from a DFT-relaxed cell (GGA+U, Alexandria), using Cu Kα, 1.54184 Å.

Structure:
Unit cell a=5.068 b=5.512 c=8.131 alpha=90.00 beta=128.38 gamma=90.00
Sites, in units of the cell vectors:
Li  0.000  0.151  0.000
Li  0.000  0.849  0.500
Li  0.748  0.317  0.247
Li  0.748  0.683  0.747
Mn  0.253  0.333  0.754
Mn  0.253  0.667  0.254
Si  0.505  0.171  0.499
Si  0.505  0.829  0.999
O  0.179  0.306  0.284
O  0.179  0.694  0.784
O  0.402  0.112  0.005
O  0.402  0.888  0.505
O  0.624  0.320  0.713
O  0.624  0.680  0.213
O  0.826  0.174  0.494
O  0.826  0.826  0.994

Largest 12 diffraction maxima, most intense first, 2θ = 10–90°:
hkl 1 0 -2, 22.41 deg, intensity 1000; hkl 0 2 0, 32.46 deg, intensity 923; hkl 0 1 1, 21.31 deg, intensity 819; hkl 2 0 -2, 35.44 deg, intensity 724; hkl 1 1 1, 37.11 deg, intensity 637; hkl 0 0 4, 57.91 deg, intensity 490; hkl 3 1 -5, 64.75 deg, intensity 268; hkl 1 1 0, 27.70 deg, intensity 248; hkl 2 1 -3, 41.72 deg, intensity 219; hkl 2 0 -6, 69.83 deg, intensity 182; hkl 2 2 -2, 48.77 deg, intensity 181; hkl 3 1 -1, 64.61 deg, intensity 141